Record 1
ReBr3F: computed XRD peak list (CuKα), based on a GGA-PBE-relaxed structure.
Neutral-atom scattering factors, no anomalous dispersion.

Cell and atoms:
Cell lengths 6.5675, 10.0162, 11.7738 Å; angles 90.00, 108.53, 90.00 degrees
Fractional coordinates of all 20 atoms:
1 Re 0.0623 0.2478 0.1651
2 Re 0.0623 0.7522 0.6651
3 Re 0.9377 0.2478 0.3349
4 Re 0.9377 0.7522 0.8349
5 Br 0.0660 0.2149 0.9502
6 Br 0.0660 0.7851 0.4502
7 Br 0.1974 0.4679 0.1734
8 Br 0.1974 0.5321 0.6734
9 Br 0.3248 0.2503 0.4372
10 Br 0.3248 0.7497 0.9372
11 Br 0.6752 0.2503 0.0628
12 Br 0.6752 0.7497 0.5628
13 Br 0.8026 0.4679 0.3266
14 Br 0.8026 0.5321 0.8266
15 Br 0.9340 0.2149 0.5498
16 Br 0.9340 0.7851 0.0498
17 F 0.2147 0.0875 0.2014
18 F 0.2147 0.9125 0.7014
19 F 0.7853 0.0875 0.2986
20 F 0.7853 0.9125 0.7986

Most intense lines, 2θ from 5° to 70°, sorted by position:
(hkl), two_theta, intensity
0 1 1, 11.87, 100
1 0 0, 14.22, 54
1 1 -1, 16.50, 15
0 2 0, 17.71, 37
1 1 1, 20.43, 13
1 2 0, 22.79, 19
1 0 -4, 30.66, 16
2 1 1, 33.46, 14
0 4 0, 35.87, 14
1 1 -5, 39.34, 21


Record 2
RhBr2F: computed XRD peak list (CuKα), based on a GGA-PBE-relaxed structure.
Neutral-atom scattering factors, no anomalous dispersion.

Cell and atoms:
Cell lengths 14.0909, 3.6680, 4.0868 Å; angles 90.00, 91.07, 90.00 degrees
Fractional coordinates of all 8 atoms:
1 Rh 0.0000 0.0000 0.0000
2 Rh 0.5000 0.5000 0.0000
3 Br 0.1204 0.5042 0.0078
4 Br 0.3796 0.0042 0.9922
5 Br 0.6204 0.0042 0.0078
6 Br 0.8796 0.5042 0.9922
7 F 0.0000 0.0582 0.5000
8 F 0.5000 0.5582 0.5000

Most intense lines, 2θ from 5° to 70°, sorted by position:
(hkl), two_theta, intensity
2 0 0, 12.57, 100
0 0 1, 21.75, 95
3 1 0, 30.93, 66
3 1 -1, 37.92, 25
3 1 1, 38.35, 30
5 1 0, 40.36, 39
0 0 2, 44.34, 19
5 1 -1, 46.01, 25
5 1 1, 46.62, 18
0 2 1, 54.87, 16


Record 3
SbSBr3F6: computed XRD peak list (CuKα), based on a GGA-PBE-relaxed structure.
Neutral-atom scattering factors, no anomalous dispersion.

Cell and atoms:
Cell lengths 8.5386, 9.7023, 12.7447 Å; angles 90.00, 90.00, 90.00 degrees
Fractional coordinates of all 44 atoms:
1 Sb 0.1973 0.0423 0.1991
2 Sb 0.3027 0.9577 0.6991
3 Sb 0.6973 0.4577 0.8009
4 Sb 0.8027 0.5423 0.3009
5 S 0.1604 0.4768 0.0148
6 S 0.3396 0.5232 0.5148
7 S 0.6604 0.0232 0.9852
8 S 0.8396 0.9768 0.4852
9 Br 0.1340 0.4949 0.6153
10 Br 0.1567 0.6653 0.9211
11 Br 0.2208 0.3163 0.9019
12 Br 0.2792 0.6837 0.4019
13 Br 0.3433 0.3347 0.4211
14 Br 0.3660 0.5051 0.1153
15 Br 0.6340 0.0051 0.3847
16 Br 0.6567 0.8347 0.0789
17 Br 0.7208 0.1837 0.0981
18 Br 0.7792 0.8163 0.5981
19 Br 0.8433 0.1653 0.5789
20 Br 0.8660 0.9949 0.8847
21 F 0.0356 0.9594 0.1171
22 F 0.0642 0.0493 0.3200
23 F 0.1311 0.2243 0.1602
24 F 0.1343 0.8790 0.7833
25 F 0.1624 0.9607 0.5815
26 F 0.2277 0.1373 0.7410
27 F 0.2723 0.8627 0.2410
28 F 0.3376 0.0393 0.0815
29 F 0.3657 0.1210 0.2833
30 F 0.3689 0.7757 0.6602
31 F 0.4358 0.9507 0.8200
32 F 0.4644 0.0406 0.6171
33 F 0.5356 0.5406 0.8829
34 F 0.5642 0.4507 0.6800
35 F 0.6311 0.2757 0.8398
36 F 0.6343 0.6210 0.2167
37 F 0.6624 0.5393 0.4185
38 F 0.7277 0.3627 0.2590
39 F 0.7723 0.6373 0.7590
40 F 0.8376 0.4607 0.9185
41 F 0.8657 0.3790 0.7167
42 F 0.8689 0.7243 0.3398
43 F 0.9358 0.5493 0.1800
44 F 0.9644 0.4594 0.3829

Most intense lines, 2θ from 5° to 70°, sorted by position:
(hkl), two_theta, intensity
0 2 0, 18.29, 21
1 1 2, 19.64, 100
2 0 0, 20.81, 33
2 1 1, 23.82, 39
1 2 2, 25.32, 63
1 0 4, 29.93, 17
0 3 2, 31.04, 19
3 0 3, 38.05, 14
3 1 3, 39.22, 14
1 4 2, 41.20, 15


Record 4
USBrF: computed XRD peak list (CuKα), based on a GGA-PBE-relaxed structure.
Neutral-atom scattering factors, no anomalous dispersion.

Cell and atoms:
Cell lengths 4.0325, 4.0325, 21.8386 Å; angles 90.00, 90.00, 120.00 degrees
Fractional coordinates of all 12 atoms:
1 U 0.0000 0.0000 0.0000
2 U 0.3333 0.6667 0.6667
3 U 0.6667 0.3333 0.3333
4 S 0.0000 0.0000 0.5981
5 S 0.3333 0.6667 0.2647
6 S 0.6667 0.3333 0.9314
7 Br 0.0000 0.0000 0.7647
8 Br 0.3333 0.6667 0.4314
9 Br 0.6667 0.3333 0.0980
10 F 0.0000 0.0000 0.3483
11 F 0.3333 0.6667 0.0150
12 F 0.6667 0.3333 0.6816

Most intense lines, 2θ from 5° to 70°, sorted by position:
(hkl), two_theta, intensity
0 0 3, 12.16, 100
1 0 1, 25.84, 42
0 1 2, 26.80, 19
1 0 4, 30.38, 46
0 1 5, 32.84, 50
1 0 7, 38.70, 13
0 1 8, 42.01, 24
1 1 0, 44.96, 28
1 1 3, 46.75, 22
1 1 9, 59.62, 15


Record 5
SbBrF: computed XRD peak list (CuKα), based on a GGA-PBE-relaxed structure.
Neutral-atom scattering factors, no anomalous dispersion.

Cell and atoms:
Cell lengths 6.5278, 8.0902, 8.9756 Å; angles 90.00, 120.39, 90.00 degrees
Fractional coordinates of all 12 atoms:
1 Sb 0.0209 0.1677 0.2583
2 Sb 0.0209 0.3323 0.7583
3 Sb 0.9791 0.6677 0.2417
4 Sb 0.9791 0.8323 0.7417
5 Br 0.3475 0.6812 0.7758
6 Br 0.3475 0.8188 0.2758
7 Br 0.6525 0.1812 0.7242
8 Br 0.6525 0.3188 0.2242
9 F 0.1367 0.0529 0.7336
10 F 0.1367 0.4471 0.2336
11 F 0.8633 0.5529 0.7664
12 F 0.8633 0.9471 0.2664

Most intense lines, 2θ from 5° to 70°, sorted by position:
(hkl), two_theta, intensity
1 0 0, 15.74, 32
1 0 -2, 20.22, 28
0 2 0, 21.97, 20
0 0 2, 22.98, 100
1 2 -1, 26.16, 41
0 2 2, 32.00, 15
1 2 1, 32.60, 27
2 2 -1, 35.63, 21
2 2 -3, 40.14, 20
3 0 -4, 47.45, 16


Record 6
SbBrF8: computed XRD peak list (CuKα), based on a GGA-PBE-relaxed structure.
Neutral-atom scattering factors, no anomalous dispersion.

Cell and atoms:
Cell lengths 10.2622, 5.9817, 11.2674 Å; angles 90.00, 90.00, 90.00 degrees
Fractional coordinates of all 40 atoms:
1 Sb 0.0000 0.1203 0.2500
2 Sb 0.0000 0.8797 0.7500
3 Sb 0.5000 0.1203 0.7500
4 Sb 0.5000 0.8797 0.2500
5 Br 0.2500 0.5000 0.0538
6 Br 0.2500 0.5000 0.5538
7 Br 0.7500 0.5000 0.4462
8 Br 0.7500 0.5000 0.9462
9 F 0.0918 0.1414 0.3957
10 F 0.0918 0.8586 0.8957
11 F 0.1135 0.3677 0.1927
12 F 0.1135 0.6323 0.6927
13 F 0.1166 0.0955 0.6876
14 F 0.1166 0.9045 0.1876
15 F 0.1452 0.3815 0.9464
16 F 0.1452 0.6185 0.4464
17 F 0.3548 0.3815 0.4464
18 F 0.3548 0.6185 0.9464
19 F 0.3834 0.0955 0.1876
20 F 0.3834 0.9045 0.6876
21 F 0.3865 0.3677 0.6927
22 F 0.3865 0.6323 0.1927
23 F 0.4082 0.1414 0.8957
24 F 0.4082 0.8586 0.3957
25 F 0.5918 0.1414 0.6043
26 F 0.5918 0.8586 0.1043
27 F 0.6135 0.3677 0.8073
28 F 0.6135 0.6323 0.3073
29 F 0.6166 0.0955 0.3124
30 F 0.6166 0.9045 0.8124
31 F 0.6452 0.3815 0.0536
32 F 0.6452 0.6185 0.5536
33 F 0.8548 0.3815 0.5536
34 F 0.8548 0.6185 0.0536
35 F 0.8834 0.0955 0.8124
36 F 0.8834 0.9045 0.3124
37 F 0.8865 0.3677 0.3073
38 F 0.8865 0.6323 0.8073
39 F 0.9082 0.1414 0.1043
40 F 0.9082 0.8586 0.6043

Most intense lines, 2θ from 5° to 70°, sorted by position:
(hkl), two_theta, intensity
0 0 2, 15.73, 16
1 1 1, 18.89, 77
0 1 2, 21.67, 84
2 1 0, 22.83, 88
2 0 2, 23.44, 100
3 1 1, 31.15, 16
1 2 1, 32.17, 18
3 2 1, 40.87, 22
3 0 4, 41.52, 34
3 2 3, 47.07, 27